Starting from a PBE+U-relaxed structure, the XRD peak list of Na2FePCO7 was computed for Cu Kα X-rays.

Structure:
```
Na2FePCO7
1.0
8.4045 0.0000 0.0000
-1.7522 8.2413 0.0000
-3.4479 -3.7653 8.9273
Na Fe P C O
8 4 4 4 28
direct
0.0000 0.0000 0.0000
0.0140 0.0135 0.5204
0.2165 0.4763 0.1716
0.3155 0.0295 0.3325
0.5197 0.5096 0.5207
0.6626 0.9198 0.1554
0.7498 0.2494 0.9977
0.8105 0.5617 0.3392
0.1840 0.4562 0.6012
0.3159 0.0694 0.9084
0.6799 0.9553 0.5990
0.8168 0.5691 0.9086
0.0530 0.3072 0.8280
0.4456 0.2121 0.6795
0.5582 0.8118 0.8280
0.9485 0.7113 0.6803
0.0158 0.2697 0.3196
0.4818 0.2462 0.1876
0.5273 0.7752 0.3228
0.9818 0.7374 0.1887
0.0227 0.5978 0.5844
0.0341 0.7819 0.0932
0.0491 0.8351 0.3266
0.0982 0.8625 0.8234
0.1492 0.4154 0.3679
0.1660 0.2324 0.9338
0.1675 0.4194 0.7754
0.3189 0.1024 0.7271
0.3387 0.2930 0.5776
0.3414 0.1028 0.1330
0.4105 0.6608 0.6847
0.4580 0.6843 0.1843
0.4736 0.7308 0.4178
0.4852 0.9287 0.9230
0.5093 0.0881 0.5801
0.5360 0.2745 0.0879
0.5579 0.3493 0.3241
0.6060 0.3537 0.8214
0.6599 0.9276 0.3848
0.6808 0.7439 0.9331
0.6831 0.9357 0.7866
0.8247 0.5971 0.7273
0.8317 0.7832 0.5747
0.8533 0.5839 0.1290
0.9010 0.1538 0.6871
0.9260 0.1697 0.1802
0.9774 0.2337 0.4232
0.9767 0.4173 0.9259
```

Principal peaks in the range 10° ≤ 2θ ≤ 90°, sorted by position:
d_spacing, Position (°2θ), I (rel.), hkl
5.365, 16.5, 219, -1 1 1
5.186, 17.1, 184, 1 -1 1
4.599, 19.3, 557, 1 1 0
4.510, 19.7, 593, 1 1 -2
3.451, 25.8, 283, 1 1 1
3.268, 27.3, 1000, 2 -2 0
2.971, 30.1, 184, 0 2 -3
2.647, 33.9, 418, 2 2 -2
2.622, 34.2, 360, 1 1 2
1.634, 56.3, 200, 4 -4 0

=====

Starting from a PBE+U-relaxed structure, the XRD peak list of Na5Fe2P2C2O14 was computed for Cu Kα X-rays.

Structure:
```
Na5Fe2P2C2O14
1.0
10.3471 0.0000 0.0000
0.0000 6.6144 0.0000
-5.2084 0.0000 9.1541
Na Fe P C O
10 4 4 4 28
direct
0.0000 0.0038 0.0000
0.0000 0.9962 0.5000
0.1597 0.4818 0.8464
0.1597 0.5182 0.3464
0.3490 0.2464 0.6851
0.3488 0.2503 0.1889
0.3488 0.7497 0.6889
0.3490 0.7536 0.1851
0.8140 0.2232 0.1689
0.8140 0.7768 0.6689
0.4410 0.0007 0.9958
0.4410 0.9993 0.4958
0.7423 0.4958 0.8670
0.7423 0.5042 0.3670
0.5087 0.5002 0.0017
0.5087 0.4998 0.5017
0.6700 0.0037 0.3703
0.6700 0.9963 0.8703
0.0224 0.4988 0.5350
0.0224 0.5012 0.0350
0.1506 0.0075 0.3213
0.1506 0.9925 0.8213
0.0111 0.0263 0.2376
0.0111 0.9737 0.7376
0.1646 0.4985 0.6191
0.1646 0.5015 0.1191
0.2095 0.0036 0.9641
0.2095 0.9964 0.4641
0.2414 0.0026 0.7677
0.2414 0.9974 0.2677
0.4068 0.3161 0.9793
0.4068 0.6839 0.4793
0.4104 0.3136 0.4821
0.4104 0.6864 0.9821
0.5209 0.0028 0.2254
0.5209 0.9972 0.7254
0.5538 0.5003 0.3789
0.5538 0.4997 0.8789
0.6418 0.0081 0.5008
0.6418 0.9919 0.0008
0.6522 0.4922 0.1523
0.6522 0.5078 0.6523
0.7651 0.1900 0.8864
0.7651 0.8100 0.3864
0.7672 0.1889 0.3749
0.7672 0.8111 0.8749
0.9306 0.4921 0.0858
0.9306 0.5079 0.5858
0.9619 0.4904 0.3930
0.9619 0.5096 0.8930
```

Principal peaks in the range 10° ≤ 2θ ≤ 90°, sorted by position:
d_spacing, Position (°2θ), I (rel.), hkl
5.328, 16.6, 302, 1 1 0
4.577, 19.4, 410, 0 0 2
4.511, 19.7, 418, 2 0 -2
3.448, 25.8, 302, 1 0 2
3.307, 27.0, 1000, 0 2 0
2.681, 33.4, 369, 0 2 2
2.665, 33.6, 749, 2 2 0
2.633, 34.1, 596, 2 0 -4
2.163, 41.8, 269, 0 1 4
1.654, 55.6, 258, 0 4 0